The following is a computed X-ray powder pattern of Mn3F10. It was derived from a DFT-relaxed cell (PBE+U, Alexandria), using CuKα.

Atomic structure:
```
26
Lattice="6.3184 0.0000 0.0000 -0.2812 7.6578 0.0000 -3.0850 -3.6514 8.3717" Properties=species:S:1:pos:R:3 pbc="T T T"
Mn -0.2086 3.1261 1.3634
Mn 0.0357 -1.1802 3.1977
Mn -1.7339 3.9074 8.3198
Mn 4.6861 0.0990 0.0519
Mn 2.9165 5.1865 5.1740
Mn 3.1609 0.8802 7.0083
F -1.5425 -1.8257 4.1858
F -0.1480 1.3995 0.4060
F -1.7859 1.4926 6.1158
F -0.3055 4.7929 2.1505
F -1.9666 4.5266 6.5797
F 1.0738 3.8532 0.0759
F 0.0379 0.3769 4.0018
F 1.0663 2.5748 2.4124
F 1.4479 -0.5895 1.7411
F 2.9210 1.2121 0.3279
F 1.6167 -1.8257 4.1858
F 0.0312 2.7943 8.0437
F 1.5043 4.5959 6.6306
F 1.8860 1.4315 5.9593
F 2.9144 3.6295 4.3699
F 1.8784 0.1532 8.2957
F 4.9188 -0.5202 1.7919
F 3.2577 -0.7865 6.2211
F 4.7382 2.5138 2.2558
F 3.1002 2.6069 7.9657
```

Principal peaks in the range 5 to 70 degrees two-theta, by angle:
hkl, two_theta, I/Imax
0 0 1, 10.57, 45
0 1 0, 12.61, 32
1 0 0, 15.00, 100
0 1 -2, 19.88, 30
1 -1 1, 20.99, 20
1 0 -2, 21.18, 20
0 2 0, 25.38, 60
1 -1 2, 28.15, 21